Calculated X-ray diffraction stick pattern of Pm2RhSe for Cu Kα (weighted mean of Kα1 and Kα2), from the GGA-PBE geometry in Alexandria.
No peak broadening, texture or thermal motion is included.

Structural model:
```
data_Pm2RhSe
_cell_length_a 4.0188
_cell_length_b 23.0540
_cell_length_c 4.2828
_cell_angle_alpha 90.00
_cell_angle_beta 90.00
_cell_angle_gamma 90.00
_space_group_name_H-M_alt 'C m c m'
_space_group_IT_number 63
_space_group_name_Hall '-C 2c 2'
loop_
_atom_site_label
_atom_site_type_symbol
_atom_site_fract_x
_atom_site_fract_y
_atom_site_fract_z
Pm1 Pm 0.0000 0.0617 0.2500
Pm2 Pm 0.0000 0.3260 0.2500
Rh1 Rh 0.0000 0.4553 0.2500
Se1 Se 0.0000 0.1924 0.2500
```

Principal peaks in the range 2θ = 10–90°, in order of falling intensity:
hkl 1 1 1, 2θ 30.75, intensity 100
hkl 1 7 1, 2θ 41.23, intensity 72
hkl 0 8 0, 2θ 31.03, intensity 48
hkl 0 0 2, 2θ 42.20, intensity 29
hkl 1 3 1, 2θ 32.70, intensity 25
hkl 2 0 0, 2θ 45.12, intensity 24
hkl 0 8 2, 2θ 53.30, intensity 21
hkl 3 7 1, 2θ 80.58, intensity 20